Starting from a crystal structure in Alexandria, relaxed with GGA-PBE, the powder diffractogram of Sc3Zn5 was computed for λ = 1.5418 Å (Cu Kα).
No peak broadening, texture or thermal motion is included.

Principal peaks in the range 2θ = 15–90°, by angle:
2theta  I (rel.)  h k l
27.7  3  1 1 0
38.7  100  1 1 4
39.6  48  2 0 0
49.4  3  1 1 6
54.4  8  0 0 8
57.3  15  2 2 0
69.3  14  2 0 8
71.2  29  3 1 4
82.9  8  2 2 8
85.3  5  4 0 0

Atomic structure:
Cell lengths 4.551, 4.551, 13.501 Å; angles 90.00, 90.00, 90.00 degrees
Space group I4/mmm (No. 139)
Unique sites:
Sc  0.000  0.000  0.000 (multiplicity 2)
Sc  0.000  0.000  0.262 (multiplicity 4)
Zn  0.000  0.000  0.500 (multiplicity 2)
Zn  0.000  0.500  0.118 (multiplicity 8)